1.
Computed powder X-ray diffraction pattern of MgMo2WSe2S4 for CuKα, from a crystal structure in the Materials Project, relaxed with GGA-PBE.
Intensities are scaled so that the largest is 100.

Structure:
```
MgMo2WSe2S4
1.0
3.2363 0.0000 0.0000
-1.6182 2.8027 0.0000
0.0000 0.0000 36.7432
Mg Mo W Se S
1 2 1 2 4
direct
0.0000 0.0000 0.0000 Mg
0.3333 0.6667 0.3573 Mo
0.3333 0.6667 0.8869 Mo
0.6667 0.3333 0.1349 W
0.3333 0.6667 0.0880 Se
0.3333 0.6667 0.1816 Se
0.6667 0.3333 0.3151 S
0.6667 0.3333 0.3996 S
0.6667 0.3333 0.8451 S
0.6667 0.3333 0.9296 S
```

Principal peaks in the range 10° ≤ 2θ ≤ 80°, in order of rising 2θ:
2θ/deg, d/Å, I/Imax
12.04, 7.349, 100
31.97, 2.800, 58
33.43, 2.681, 48
34.24, 2.619, 23
35.22, 2.549, 60
36.34, 2.472, 59
40.48, 2.228, 70
42.08, 2.147, 83
45.58, 1.990, 20
49.41, 1.844, 30
56.93, 1.618, 55
57.88, 1.593, 36


2.
Computed powder X-ray diffraction pattern of Sc6N2O5 for CuKα, from a crystal structure in the Materials Project, relaxed with GGA-PBE.
Intensities are scaled so that the largest is 100.

Structure:
```
Sc6N2O5
1.0
5.0058 -2.2112 0.0000
5.0058 2.2112 0.0000
-1.0381 0.0000 6.9502
Sc N O
6 2 5
direct
0.0647 0.0647 0.2161 Sc
0.2081 0.2081 0.6385 Sc
0.3541 0.3541 0.0771 Sc
0.6459 0.6459 0.9229 Sc
0.7919 0.7919 0.3615 Sc
0.9353 0.9353 0.7839 Sc
0.1424 0.1424 0.9255 N
0.8576 0.8576 0.0745 N
0.0000 0.0000 0.5000 O
0.2730 0.2730 0.3546 O
0.4223 0.4223 0.7965 O
0.5777 0.5777 0.2035 O
0.7270 0.7270 0.6454 O
```

Principal peaks in the range 10° ≤ 2θ ≤ 80°, in order of rising 2θ:
2θ/deg, d/Å, I/Imax
12.74, 6.950, 11
22.01, 4.038, 10
26.18, 3.404, 8
34.83, 2.576, 28
35.07, 2.559, 28
40.46, 2.229, 100
40.81, 2.211, 50
58.24, 1.584, 14
58.83, 1.570, 69
69.83, 1.347, 8
73.55, 1.288, 12
74.11, 1.279, 13


3.
Computed powder X-ray diffraction pattern of In2Bi3Se7I for CuKα, from a crystal structure in the Materials Project, relaxed with GGA-PBE.
Intensities are scaled so that the largest is 100.

Structure:
```
In2Bi3Se7I
1.0
27.3268 0.0000 0.0000
0.0000 4.2049 0.0000
0.0000 0.0000 13.7117
In Bi Se I
8 12 28 4
direct
0.0338 0.2500 0.0843 In
0.0527 0.7500 0.5415 In
0.4473 0.2500 0.0415 In
0.4662 0.7500 0.5843 In
0.5338 0.2500 0.4157 In
0.5527 0.7500 0.9585 In
0.9473 0.2500 0.4585 In
0.9662 0.7500 0.9157 In
0.1563 0.7500 0.2034 Bi
0.1860 0.2500 0.9258 Bi
0.1920 0.2500 0.5506 Bi
0.3080 0.7500 0.0506 Bi
0.3140 0.7500 0.4258 Bi
0.3437 0.2500 0.7034 Bi
0.6563 0.7500 0.2966 Bi
0.6860 0.2500 0.5742 Bi
0.6920 0.2500 0.9494 Bi
0.8080 0.7500 0.4494 Bi
0.8140 0.7500 0.0742 Bi
0.8437 0.2500 0.7966 Bi
0.0098 0.2500 0.6209 Se
0.0271 0.2500 0.8896 Se
0.0880 0.2500 0.2461 Se
0.1214 0.7500 0.0163 Se
0.1368 0.7500 0.4502 Se
0.2313 0.2500 0.1083 Se
0.2420 0.2500 0.3744 Se
0.2580 0.7500 0.8744 Se
0.2687 0.7500 0.6083 Se
0.3632 0.2500 0.9502 Se
0.3786 0.2500 0.5163 Se
0.4120 0.7500 0.7461 Se
0.4729 0.7500 0.3896 Se
0.4902 0.7500 0.1209 Se
0.5098 0.2500 0.8791 Se
0.5271 0.2500 0.6104 Se
0.5880 0.2500 0.2539 Se
0.6214 0.7500 0.4837 Se
0.6368 0.7500 0.0498 Se
0.7313 0.2500 0.3917 Se
0.7420 0.2500 0.1256 Se
0.7580 0.7500 0.6256 Se
0.7687 0.7500 0.8917 Se
0.8632 0.2500 0.5498 Se
0.8786 0.2500 0.9837 Se
0.9120 0.7500 0.7539 Se
0.9729 0.7500 0.1104 Se
0.9902 0.7500 0.3791 Se
0.1339 0.7500 0.7335 I
0.3661 0.2500 0.2335 I
0.6339 0.7500 0.7665 I
0.8661 0.2500 0.2665 I
```

Principal peaks in the range 10° ≤ 2θ ≤ 80°, in order of rising 2θ:
2θ/deg, d/Å, I/Imax
12.92, 6.855, 28
19.49, 4.554, 28
28.11, 3.174, 81
28.89, 3.090, 100
29.16, 3.062, 60
29.64, 3.014, 64
30.79, 2.904, 28
38.36, 2.346, 30
39.80, 2.265, 39
43.02, 2.102, 52
44.22, 2.048, 31
45.29, 2.002, 31


4.
Computed powder X-ray diffraction pattern of Dy2MgCd for CuKα, from a crystal structure in the Materials Project, relaxed with GGA-PBE.
Intensities are scaled so that the largest is 100.

Structure:
```
Dy2MgCd
1.0
0.0000 3.7690 3.7690
3.7690 0.0000 3.7690
3.7690 3.7690 0.0000
Dy Mg Cd
2 1 1
direct
0.2500 0.2500 0.2500 Dy
0.7500 0.7500 0.7500 Dy
0.0000 0.0000 0.0000 Mg
0.5000 0.5000 0.5000 Cd
```

Principal peaks in the range 10° ≤ 2θ ≤ 80°, in order of rising 2θ:
2θ/deg, d/Å, I/Imax
20.41, 4.352, 9
23.61, 3.769, 18
33.63, 2.665, 100
39.66, 2.273, 5
41.50, 2.176, 6
48.29, 1.884, 18
52.95, 1.729, 2
54.44, 1.686, 8
60.14, 1.539, 37
64.20, 1.451, 1
70.70, 1.333, 11
75.70, 1.256, 4


Question: Which formula does entry 3 have?
Answer: In2Bi3Se7I